For Zn2NiHgF8, DFT lattice parameters and positions (GGA+U) gives the calculated powder diffraction line list in this record (Cu Kα (weighted mean of Kα1 and Kα2)).
Intensities are scaled so that the largest is 100.

Structure:
a b c (Å): 6.9773 6.9773 7.0512
angles (deg): 90.00 90.00 90.00
Space group I-4m2 (No. 119)
One atom of each set of equivalent atoms:
Zn: 0.0000 0.0000 0.0000 x2
Zn: 0.0000 0.5000 0.2500 x2
Ni: 0.0000 0.5000 0.7500 x2
Hg: 0.0000 0.0000 0.5000 x2
F: 0.0000 0.2084 0.8149 x8
F: 0.0000 0.3193 0.4536 x8

Most intense lines, 10 to 90 degrees two-theta, in order of rising 2θ:
2θ/deg	I/Imax
17.91	58
25.53	100
31.18	88
31.35	15
36.42	18
40.87	19
48.68	71
52.46	18
58.68	18
62.30	21